No. 1
This entry pairs a crystal structure of LiSmCd4 with its theoretical powder diffractogram. Radiation: Cu Ka. Structure: the GGA-PBE geometry in Alexandria.
Intensities are scaled so that the largest is 1000.

Principal peaks in the range 2θ = 10–80°, sorted by position:
10.05 deg, I = 387; 27.82 deg, I = 241; 34.60 deg, I = 431; 34.77 deg, I = 837; 35.48 deg, I = 1000; 35.97 deg, I = 491; 45.67 deg, I = 229; 50.77 deg, I = 284; 63.37 deg, I = 217; 69.38 deg, I = 266

Crystal structure
```
data_LiSmCd4
_cell_length_a 3.207
_cell_length_b 4.993
_cell_length_c 8.805
_cell_angle_alpha 90.00
_cell_angle_beta 90.08
_cell_angle_gamma 90.00
_space_group_name_H-M_alt 'P 1'
_space_group_IT_number 1
_space_group_name_Hall 'P 1'
loop_
_atom_site_label
_atom_site_fract_x
_atom_site_fract_y
_atom_site_fract_z
_atom_site_occupancy
Li1 0.000 0.000 0.000 1
Sm1 0.000 0.500 0.500 1
Cd1 0.499 0.000 0.324 1
Cd2 0.500 0.500 0.159 1
Cd3 0.501 0.000 0.676 1
Cd4 0.503 0.500 0.842 1
```

No. 2
This entry pairs a crystal structure of LiSmCd with its theoretical powder diffractogram. Radiation: Cu Ka. Structure: the GGA-PBE geometry in Alexandria.
Intensities are scaled so that the largest is 1000.

Principal peaks in the range 2θ = 10–80°, sorted by position:
20.36 deg, I = 585; 34.06 deg, I = 1000; 35.64 deg, I = 606; 41.39 deg, I = 94; 50.13 deg, I = 331; 55.73 deg, I = 133; 63.02 deg, I = 328; 64.03 deg, I = 107; 67.90 deg, I = 179; 75.49 deg, I = 66

Crystal structure
```
data_LiSmCd
_cell_length_a 5.038
_cell_length_b 5.038
_cell_length_c 3.300
_cell_angle_alpha 90.00
_cell_angle_beta 90.00
_cell_angle_gamma 120.00
_space_group_name_H-M_alt 'P 1'
_space_group_IT_number 1
_space_group_name_Hall 'P 1'
loop_
_atom_site_label
_atom_site_fract_x
_atom_site_fract_y
_atom_site_fract_z
_atom_site_occupancy
Li1 0.000 0.000 0.000 1
Sm1 0.333 0.667 0.501 1
Cd1 0.667 0.333 0.002 1
```

No. 3
This entry pairs a crystal structure of LiSm2Cd16 with its theoretical powder diffractogram. Radiation: Cu Ka. Structure: the GGA-PBE geometry in Alexandria.
Intensities are scaled so that the largest is 1000.

Principal peaks in the range 2θ = 10–80°, sorted by position:
29.71 deg, I = 105; 30.87 deg, I = 197; 31.57 deg, I = 149; 35.84 deg, I = 1000; 36.03 deg, I = 241; 36.45 deg, I = 194; 40.25 deg, I = 269; 48.16 deg, I = 78; 64.32 deg, I = 77; 64.69 deg, I = 175

Crystal structure
```
data_LiSm2Cd16
_cell_length_a 7.643
_cell_length_b 7.643
_cell_length_c 7.643
_cell_angle_alpha 82.06
_cell_angle_beta 82.06
_cell_angle_gamma 82.06
_space_group_name_H-M_alt 'P 1'
_space_group_IT_number 1
_space_group_name_Hall 'P 1'
loop_
_atom_site_label
_atom_site_fract_x
_atom_site_fract_y
_atom_site_fract_z
_atom_site_occupancy
Li1 0.000 0.000 0.000 1
Sm1 0.252 0.252 0.252 1
Sm2 0.583 0.583 0.583 1
Cd1 0.045 0.566 0.566 1
Cd2 0.213 0.619 0.914 1
Cd3 0.213 0.914 0.619 1
Cd4 0.286 0.286 0.724 1
Cd5 0.286 0.724 0.286 1
Cd6 0.377 0.942 0.942 1
Cd7 0.566 0.045 0.566 1
Cd8 0.566 0.566 0.045 1
Cd9 0.619 0.213 0.914 1
Cd10 0.619 0.914 0.213 1
Cd11 0.724 0.286 0.286 1
Cd12 0.808 0.808 0.808 1
Cd13 0.914 0.213 0.619 1
Cd14 0.914 0.619 0.213 1
Cd15 0.942 0.377 0.942 1
Cd16 0.942 0.942 0.377 1
```